Calculated powder XRD pattern
Compound: Na2YNbSi2SO12
Radiation: a wavelength of 1.5418 Å
Structure: the GGA-PBE geometry in the Materials Project
No peak broadening, texture or thermal motion is included.

Structural model:
abc: 15.8589 9.3084 9.2048
angles: 90.00 123.85 90.00
Space group Cc (No. 9)
Asymmetric unit:
Na (0.0000, 0.0508, 0.0000) x4
Na (0.0879, 0.2465, 0.7427) x4
Y (0.4226, 0.2484, 0.8127) x4
Nb (0.2182, 0.2519, 0.1925) x4
Si (0.1780, 0.0918, 0.5038) x4
Si (0.3214, 0.4580, 0.0123) x4
S (0.4735, 0.1142, 0.4980) x4
O (0.0571, 0.3004, 0.0033) x4
O (0.0804, 0.1541, 0.4954) x4
O (0.1772, 0.0897, 0.0216) x4
O (0.1770, 0.1372, 0.3226) x4
O (0.2379, 0.3632, 0.0287) x4
O (0.2581, 0.4204, 0.3441) x4
O (0.2813, 0.1473, 0.6700) x4
O (0.3767, 0.1761, 0.3454) x4
O (0.3935, 0.3513, 0.9901) x4
O (0.3974, 0.4501, 0.6843) x4
O (0.4808, 0.1374, 0.6613) x4
O (0.4876, 0.0374, 0.9784) x4

Top 12 peaks for 15° ≤ 2θ ≤ 90°, low angle first:
| Position (°2θ) | I/Imax |
| --- | --- |
| 18.93 | 48 |
| 19.07 | 28 |
| 19.31 | 100 |
| 22.38 | 46 |
| 22.75 | 20 |
| 27.26 | 27 |
| 30.14 | 40 |
| 30.26 | 35 |
| 30.69 | 31 |
| 33.49 | 36 |
| 33.94 | 25 |
| 45.68 | 23 |